Simulated powder X-ray diffraction pattern
Compound: Mg2Cd5Hg5
Radiation: Cu Kα (λ = 1.5418 Å)
Structure: a crystal structure in Alexandria, relaxed with GGA-PBE
Kinematic intensities with the Lorentz-polarization factor, no thermal factor.

a b c (Å): 15.304 4.587 8.806
angles (deg): 90.00 108.92 90.00
Space group C2/m (No. 12)
Unique sites:
Mg 0.112 0.000 0.219 (multiplicity 4)
Cd 0.000 0.000 0.500 (multiplicity 2)
Cd 0.096 0.000 0.865 (multiplicity 4)
Cd 0.219 0.000 0.621 (multiplicity 4)
Hg 0.000 0.500 0.000 (multiplicity 2)
Hg 0.090 0.500 0.404 (multiplicity 4)
Hg 0.216 0.500 0.847 (multiplicity 4)

Main lines, by angle (5° ≤ 2θ ≤ 70°):
2θ = 23.41°, intensity 40, hkl 4 0 -1
2θ = 26.55°, intensity 63, hkl 3 1 -1
2θ = 27.97°, intensity 76, hkl 2 0 2
2θ = 30.44°, intensity 28, hkl 3 1 -2
2θ = 31.07°, intensity 93, hkl 1 1 2
2θ = 35.26°, intensity 100, hkl 5 1 -1
2θ = 36.60°, intensity 46, hkl 1 1 -3
2θ = 37.27°, intensity 76, hkl 3 1 -3
2θ = 39.28°, intensity 71, hkl 0 2 0
2θ = 41.18°, intensity 55, hkl 5 1 1
2θ = 48.91°, intensity 33, hkl 2 2 2
2θ = 67.85°, intensity 28, hkl 7 1 3

***

Simulated powder X-ray diffraction pattern
Compound: Nd2ErCd6
Radiation: Cu Kα (λ = 1.5418 Å)
Structure: a crystal structure in Alexandria, relaxed with GGA-PBE
Kinematic intensities with the Lorentz-polarization factor, no thermal factor.

a b c (Å): 8.7484 8.7484 3.4360
angles (deg): 90.00 90.00 120.00
Space group P6/mmm (No. 191)
Unique sites:
Nd 0.3333 0.6667 0.0000 (multiplicity 2)
Er 0.0000 0.0000 0.0000 (multiplicity 1)
Cd 0.0000 0.3296 0.5000 (multiplicity 6)

Main lines, by angle (5° ≤ 2θ ≤ 70°):
2θ = 11.68°, intensity 1, hkl 1 0 0
2θ = 20.30°, intensity 3, hkl 1 1 0
2θ = 25.93°, intensity 3, hkl 0 0 1
2θ = 33.15°, intensity 100, hkl 1 1 1
2θ = 35.55°, intensity 85, hkl 3 0 0
2θ = 41.28°, intensity 1, hkl 2 2 0
2θ = 44.52°, intensity 4, hkl 3 0 1
2θ = 49.40°, intensity 32, hkl 2 2 1
2θ = 53.32°, intensity 9, hkl 0 0 2
2θ = 62.32°, intensity 31, hkl 4 1 1
2θ = 63.84°, intensity 15, hkl 3 3 0
2θ = 65.74°, intensity 27, hkl 3 0 2